Entry 1:
This entry pairs a crystal structure of LiSbP4O12 with its simulated powder X-ray diffraction pattern. Radiation: λ = 1.5418 Å (Cu Kα). Structure: a GGA-PBE-relaxed structure.

Peak list (10 most intense, 10° ≤ 2θ ≤ 80°, in order of rising 2θ)
2θ/deg, I (rel.)
13.09, 27
13.26, 45
14.59, 40
19.20, 100
21.44, 25
23.02, 41
25.91, 53
29.44, 37
30.87, 49
38.50, 28

Atomic structure:
Cell: 8.9718 8.9718 9.9357 Å, 119.88 119.88 50.69°
Atoms (fractional coordinates):
Li1 0.0000 0.0000 0.0000
Li2 0.0000 0.0000 0.5000
Sb1 0.2985 0.7015 0.7500
Sb2 0.7015 0.2985 0.2500
P1 0.0357 0.6535 0.8879
P2 0.2982 0.4282 0.3415
P3 0.3465 0.9643 0.6121
P4 0.4282 0.2982 0.8415
P5 0.5718 0.7018 0.1585
P6 0.6535 0.0357 0.3879
P7 0.7018 0.5718 0.6585
P8 0.9643 0.3465 0.1121
O1 0.0274 0.7145 0.7658
O2 0.0298 0.7967 0.0512
O3 0.1394 0.3936 0.1776
O4 0.1944 0.6013 0.4702
O5 0.2033 0.9702 0.4488
O6 0.2292 0.4297 0.8972
O7 0.2855 0.9726 0.7342
O8 0.3936 0.1394 0.6776
O9 0.3987 0.8056 0.0298
O10 0.4200 0.4515 0.2967
O11 0.4297 0.2292 0.3972
O12 0.4515 0.4200 0.7967
O13 0.5485 0.5800 0.2033
O14 0.5703 0.7708 0.6028
O15 0.5800 0.5485 0.7033
O16 0.6013 0.1944 0.9702
O17 0.6064 0.8606 0.3224
O18 0.7145 0.0274 0.2658
O19 0.7708 0.5703 0.1028
O20 0.7967 0.0298 0.5512
O21 0.8056 0.3987 0.5298
O22 0.8606 0.6064 0.8224
O23 0.9702 0.2033 0.9488
O24 0.9726 0.2855 0.2342

=====

Entry 2:
This entry pairs a crystal structure of Ho3SbTe with its simulated powder X-ray diffraction pattern. Radiation: λ = 1.5418 Å (Cu Kα). Structure: a GGA-PBE-relaxed structure.

Peak list (10 most intense, 10° ≤ 2θ ≤ 80°, in order of rising 2θ)
2θ/deg, I (rel.)
29.86, 40
30.08, 100
31.08, 67
31.77, 98
31.96, 74
36.56, 56
36.90, 57
38.04, 79
42.52, 53
43.60, 64

Atomic structure:
Cell: 8.5045 4.1520 8.6325 Å, 90.00 90.78 90.00°
Atoms (fractional coordinates):
Ho1 0.1254 0.2500 0.1354
Ho2 0.1543 0.7500 0.5005
Ho3 0.3742 0.7500 0.8747
Ho4 0.6258 0.2500 0.1253
Ho5 0.8457 0.2500 0.4995
Ho6 0.8746 0.7500 0.8646
Sb1 0.1250 0.2500 0.7698
Sb2 0.8750 0.7500 0.2302
Te1 0.3826 0.7500 0.2298
Te2 0.6174 0.2500 0.7702

=====

Entry 3:
This entry pairs a crystal structure of Tm2BeGe2 with its simulated powder X-ray diffraction pattern. Radiation: λ = 1.5418 Å (Cu Kα). Structure: a GGA-PBE-relaxed structure.

Peak list (10 most intense, 10° ≤ 2θ ≤ 80°, in order of rising 2θ)
2θ/deg, I (rel.)
22.70, 56
23.61, 25
26.27, 30
28.86, 72
31.26, 94
34.99, 35
37.16, 71
38.98, 100
44.68, 39
54.07, 34

Atomic structure:
Cell: 7.8054 7.8054 6.7837 Å, 90.00 90.00 149.88°
Atoms (fractional coordinates):
Tm1 0.0239 0.9761 0.5000
Tm2 0.2109 0.7891 0.8185
Tm3 0.7891 0.2109 0.3185
Tm4 0.9761 0.0239 0.0000
Be1 0.4077 0.5923 0.6536
Be2 0.5923 0.4077 0.1536
Ge1 0.1636 0.8364 0.2293
Ge2 0.4305 0.5695 0.2855
Ge3 0.5695 0.4305 0.7855
Ge4 0.8364 0.1636 0.7293

=====

Entry 4:
This entry pairs a crystal structure of CeAuBr6 with its simulated powder X-ray diffraction pattern. Radiation: λ = 1.5418 Å (Cu Kα). Structure: a GGA-PBE-relaxed structure.

Peak list (10 most intense, 10° ≤ 2θ ≤ 80°, in order of rising 2θ)
2θ/deg, I (rel.)
14.00, 100
14.90, 38
24.43, 27
26.66, 16
29.54, 12
29.64, 19
34.27, 39
38.09, 22
39.74, 14
42.88, 17

Atomic structure:
Cell: 7.0715 7.0715 7.1970 Å, 96.76 96.76 114.45°
Atoms (fractional coordinates):
Ce1 0.0000 0.0000 0.0000
Au1 0.0000 0.0000 0.5000
Br1 0.0518 0.7331 0.2521
Br2 0.2669 0.9482 0.7479
Br3 0.3355 0.3355 0.2216
Br4 0.6645 0.6645 0.7784
Br5 0.7331 0.0518 0.2521
Br6 0.9482 0.2669 0.7479

=====

Entry 5:
This entry pairs a crystal structure of Tb2PrNdTm2 with its simulated powder X-ray diffraction pattern. Radiation: λ = 1.5418 Å (Cu Kα). Structure: a GGA-PBE-relaxed structure.

Peak list (10 most intense, 10° ≤ 2θ ≤ 80°, in order of rising 2θ)
2θ/deg, I (rel.)
26.56, 36
29.02, 100
29.81, 79
30.11, 97
31.16, 33
32.86, 38
33.86, 55
35.75, 38
41.04, 72
55.06, 31

Atomic structure:
Cell: 6.5499 17.9832 3.4159 Å, 90.00 90.00 90.00°
Atoms (fractional coordinates):
Tb1 0.2211 0.1883 0.0000
Tb2 0.2789 0.6883 0.5000
Tb3 0.7211 0.3117 0.5000
Tb4 0.7789 0.8117 0.0000
Pr1 0.0000 0.0000 0.0000
Pr2 0.5000 0.5000 0.5000
Nd1 0.0000 0.5000 0.0000
Nd2 0.5000 0.0000 0.5000
Tm1 0.2199 0.3509 0.5000
Tm2 0.2801 0.8509 0.0000
Tm3 0.7199 0.1491 0.0000
Tm4 0.7801 0.6491 0.5000

=====

Entry 6:
This entry pairs a crystal structure of Ni5As2 with its simulated powder X-ray diffraction pattern. Radiation: λ = 1.5418 Å (Cu Kα). Structure: a GGA-PBE-relaxed structure.

Peak list (10 most intense, 10° ≤ 2θ ≤ 80°, in order of rising 2θ)
2θ/deg, I (rel.)
29.80, 9
41.03, 17
42.01, 25
44.85, 88
46.06, 100
50.13, 13
51.25, 15
55.04, 8
66.24, 15
76.54, 10

Atomic structure:
Cell: 6.8261 6.8261 12.5405 Å, 90.00 90.00 120.00°
Atoms (fractional coordinates):
Ni1 0.0000 0.0000 0.0000
Ni2 0.0000 0.0000 0.5000
Ni3 0.0000 0.2501 0.3282
Ni4 0.0000 0.3101 0.1211
Ni5 0.0000 0.3748 0.5173
Ni6 0.0000 0.3755 0.7299
Ni7 0.0000 0.6245 0.2299
Ni8 0.0000 0.6252 0.0173
Ni9 0.0000 0.6899 0.6211
Ni10 0.0000 0.7499 0.8282
Ni11 0.2501 0.0000 0.3282
Ni12 0.2501 0.2501 0.8282
Ni13 0.3101 0.0000 0.1211
Ni14 0.3101 0.3101 0.6211
Ni15 0.3333 0.6667 0.3554
Ni16 0.3333 0.6667 0.8554
Ni17 0.3748 0.0000 0.5173
Ni18 0.3748 0.3748 0.0173
Ni19 0.3755 0.0000 0.7299
Ni20 0.3755 0.3755 0.2299
Ni21 0.6245 0.0000 0.2299
Ni22 0.6245 0.6245 0.7299
Ni23 0.6252 0.0000 0.0173
Ni24 0.6252 0.6252 0.5173
Ni25 0.6667 0.3333 0.3554
Ni26 0.6667 0.3333 0.8554
Ni27 0.6899 0.0000 0.6211
Ni28 0.6899 0.6899 0.1211
Ni29 0.7499 0.0000 0.8282
Ni30 0.7499 0.7499 0.3282
As1 0.0000 0.0000 0.1951
As2 0.0000 0.0000 0.6951
As3 0.0000 0.3305 0.9267
As4 0.0000 0.6695 0.4267
As5 0.3305 0.0000 0.9267
As6 0.3305 0.3305 0.4267
As7 0.3333 0.6667 0.1540
As8 0.3333 0.6667 0.6540
As9 0.6667 0.3333 0.1540
As10 0.6667 0.3333 0.6540
As11 0.6695 0.0000 0.4267
As12 0.6695 0.6695 0.9267

=====

Entry 7:
This entry pairs a crystal structure of ZrTaFe10 with its simulated powder X-ray diffraction pattern. Radiation: λ = 1.5418 Å (Cu Kα). Structure: a GGA-PBE-relaxed structure.

Peak list (10 most intense, 10° ≤ 2θ ≤ 80°, in order of rising 2θ)
2θ/deg, I (rel.)
10.78, 19
31.25, 76
37.94, 31
43.97, 34
44.16, 17
44.32, 51
44.46, 100
45.53, 44
65.15, 20
72.88, 21

Atomic structure:
Cell: 3.9849 4.7616 8.2036 Å, 90.00 90.00 90.00°
Atoms (fractional coordinates):
Zr1 0.0000 0.0000 0.0000
Ta1 0.0000 0.5000 0.5000
Fe1 0.0000 0.0000 0.3389
Fe2 0.0000 0.0000 0.6611
Fe3 0.0000 0.5000 0.1741
Fe4 0.0000 0.5000 0.8259
Fe5 0.5000 0.0000 0.5000
Fe6 0.5000 0.2524 0.2547
Fe7 0.5000 0.2524 0.7453
Fe8 0.5000 0.5000 0.0000
Fe9 0.5000 0.7476 0.2547
Fe10 0.5000 0.7476 0.7453

=====

Entry 8:
This entry pairs a crystal structure of Li12MnGe6 with its simulated powder X-ray diffraction pattern. Radiation: λ = 1.5418 Å (Cu Kα). Structure: a GGA-PBE-relaxed structure.

Peak list (10 most intense, 10° ≤ 2θ ≤ 80°, in order of rising 2θ)
2θ/deg, I (rel.)
13.10, 100
18.10, 82
19.02, 27
21.63, 69
26.38, 45
28.96, 50
30.14, 32
40.93, 93
41.63, 38
42.95, 77

Atomic structure:
Cell: 6.7753 6.7753 6.7753 Å, 87.04 87.04 87.04°
Atoms (fractional coordinates):
Li1 0.0131 0.3178 0.9193
Li2 0.0807 0.9869 0.6822
Li3 0.1251 0.3585 0.4701
Li4 0.3178 0.9193 0.0131
Li5 0.3585 0.4701 0.1251
Li6 0.4701 0.1251 0.3585
Li7 0.5299 0.8749 0.6415
Li8 0.6415 0.5299 0.8749
Li9 0.6822 0.0807 0.9869
Li10 0.8749 0.6415 0.5299
Li11 0.9193 0.0131 0.3178
Li12 0.9869 0.6822 0.0807
Mn1 0.5000 0.5000 0.5000
Ge1 0.2356 0.7617 0.3824
Ge2 0.2383 0.6176 0.7644
Ge3 0.3824 0.2356 0.7617
Ge4 0.6176 0.7644 0.2383
Ge5 0.7617 0.3824 0.2356
Ge6 0.7644 0.2383 0.6176

=====

Entry 9:
This entry pairs a crystal structure of InNi4Au with its simulated powder X-ray diffraction pattern. Radiation: λ = 1.5418 Å (Cu Kα). Structure: a GGA-PBE-relaxed structure.

Peak list (10 most intense, 10° ≤ 2θ ≤ 80°, in order of rising 2θ)
2θ/deg, I (rel.)
22.38, 16
25.90, 5
36.95, 62
43.63, 100
45.67, 17
58.47, 4
60.14, 2
66.58, 22
71.21, 30
78.66, 22

Atomic structure:
Cell: 4.8655 4.8655 4.8655 Å, 60.00 60.00 60.00°
Atoms (fractional coordinates):
In1 0.0000 0.0000 0.0000
Ni1 0.3751 0.3751 0.3751
Ni2 0.3751 0.3751 0.8746
Ni3 0.3751 0.8746 0.3751
Ni4 0.8746 0.3751 0.3751
Au1 0.7500 0.7500 0.7500

=====

Entry 10:
This entry pairs a crystal structure of Er4ZrSc6 with its simulated powder X-ray diffraction pattern. Radiation: λ = 1.5418 Å (Cu Kα). Structure: a GGA-PBE-relaxed structure.

Peak list (10 most intense, 10° ≤ 2θ ≤ 80°, in order of rising 2θ)
2θ/deg, I (rel.)
21.68, 15
23.64, 35
26.41, 9
32.30, 100
33.68, 46
44.19, 10
49.92, 11
50.73, 10
56.70, 13
63.75, 21

Atomic structure:
Cell: 8.4141 8.4141 8.1974 Å, 90.00 90.00 90.00°
Atoms (fractional coordinates):
Er1 0.1491 0.3509 0.2500
Er2 0.1491 0.3509 0.7500
Er3 0.3509 0.8509 0.2500
Er4 0.3509 0.8509 0.7500
Er5 0.6491 0.1491 0.2500
Er6 0.6491 0.1491 0.7500
Er7 0.8509 0.6491 0.2500
Er8 0.8509 0.6491 0.7500
Zr1 0.0000 0.0000 0.0000
Zr2 0.5000 0.5000 0.5000
Sc1 0.0000 0.0000 0.3322
Sc2 0.0000 0.0000 0.6678
Sc3 0.1491 0.6519 0.5000
Sc4 0.1519 0.6491 0.0000
Sc5 0.3481 0.1491 0.5000
Sc6 0.3509 0.1519 0.0000
Sc7 0.5000 0.5000 0.1678
Sc8 0.5000 0.5000 0.8322
Sc9 0.6491 0.8481 0.0000
Sc10 0.6519 0.8509 0.5000
Sc11 0.8481 0.3509 0.0000
Sc12 0.8509 0.3481 0.5000

=====

Entry 11:
This entry pairs a crystal structure of Ca2CdPt2 with its simulated powder X-ray diffraction pattern. Radiation: λ = 1.5418 Å (Cu Kα). Structure: a GGA-PBE-relaxed structure.

Peak list (10 most intense, 10° ≤ 2θ ≤ 80°, in order of rising 2θ)
2θ/deg, I (rel.)
18.23, 80
22.21, 41
22.67, 100
34.12, 38
36.06, 54
36.22, 33
37.09, 42
37.23, 52
40.22, 78
46.89, 35

Atomic structure:
Cell: 5.8275 5.8275 8.3415 Å, 104.29 104.29 57.49°
Atoms (fractional coordinates):
Ca1 0.0033 0.6995 0.8512
Ca2 0.3005 0.9967 0.6488
Ca3 0.6995 0.0033 0.3512
Ca4 0.9967 0.3005 0.1488
Cd1 0.3433 0.6567 0.2500
Cd2 0.6567 0.3433 0.7500
Pt1 0.2175 0.5082 0.4913
Pt2 0.4918 0.7825 0.0087
Pt3 0.5082 0.2175 0.9913
Pt4 0.7825 0.4918 0.5087